No. 1
Calculated powder X-ray diffraction pattern
Compound: NaFe2Re2
Radiation: Cu Kα (weighted mean of Kα1 and Kα2)
Structure: a DFT-relaxed cell (PBE, Alexandria)

Structure:
a = 7.4244 Å, b = 7.4244 Å, c = 2.6162 Å
α = 90.00°, β = 90.00°, γ = 90.00°
Space group P4/mbm (No. 127)
Unique sites:
Na 0.0000 0.0000 0.0000 (multiplicity 2)
Fe 0.1321 0.3679 0.0000 (multiplicity 4)
Re 0.1543 0.6543 0.5000 (multiplicity 4)

Most intense lines, 5 to 70 degrees two-theta, in order of rising 2θ:
- hkl 1 1 0, 16.9 deg, d = 5.250 Å, I 45.5
- hkl 2 0 0, 24.0 deg, d = 3.712 Å, I 12.7
- hkl 2 1 0, 26.9 deg, d = 3.320 Å, I 51.8
- hkl 3 1 0, 38.3 deg, d = 2.348 Å, I 45.7
- hkl 2 1 1, 44.1 deg, d = 2.055 Å, I 100.0
- hkl 4 0 0, 49.1 deg, d = 1.856 Å, I 17.8
- hkl 3 3 0, 52.3 deg, d = 1.749 Å, I 24.0
- hkl 4 1 1, 62.6 deg, d = 1.483 Å, I 12.7

=====

No. 2
Calculated powder X-ray diffraction pattern
Compound: NaFe2Re
Radiation: Cu Kα (weighted mean of Kα1 and Kα2)
Structure: a DFT-relaxed cell (PBE, Alexandria)

Structure:
a = 5.9158 Å, b = 5.9158 Å, c = 5.9158 Å
α = 90.00°, β = 90.00°, γ = 90.00°
Space group Fm-3m (No. 225)
Unique sites:
Na 0.0000 0.0000 0.0000 (multiplicity 4)
Fe 0.2500 0.2500 0.2500 (multiplicity 8)
Re 0.0000 0.0000 0.5000 (multiplicity 4)

Most intense lines, 5 to 70 degrees two-theta, in order of rising 2θ:
- hkl 1 1 1, 26.1 deg, d = 3.415 Å, I 60.9
- hkl 2 0 0, 30.2 deg, d = 2.958 Å, I 9.8
- hkl 2 2 0, 43.3 deg, d = 2.092 Å, I 100.0
- hkl 3 1 1, 51.2 deg, d = 1.784 Å, I 30.1
- hkl 2 2 2, 53.7 deg, d = 1.708 Å, I 3.0
- hkl 4 0 0, 62.8 deg, d = 1.479 Å, I 15.9
- hkl 3 3 1, 69.2 deg, d = 1.357 Å, I 12.6

=====

No. 3
Calculated powder X-ray diffraction pattern
Compound: Na2Fe3S4
Radiation: Cu Kα (weighted mean of Kα1 and Kα2)
Structure: a DFT-relaxed cell (PBE, Alexandria)

Structure:
a = 14.8958 Å, b = 3.7277 Å, c = 6.6092 Å
α = 90.00°, β = 115.27°, γ = 90.00°
Space group Cm (No. 8)
Unique sites:
Na 0.0000 0.0000 0.0000 (multiplicity 2)
Na 0.0074 0.5000 0.5049 (multiplicity 2)
Fe 0.2037 0.0000 0.5411 (multiplicity 2)
Fe 0.2067 0.5000 0.0332 (multiplicity 2)
Fe 0.3179 0.5000 0.4764 (multiplicity 2)
S 0.1460 0.0000 0.8106 (multiplicity 2)
S 0.1534 0.5000 0.3176 (multiplicity 2)
S 0.3673 0.0000 0.6902 (multiplicity 2)
S 0.3708 0.5000 0.2143 (multiplicity 2)

Most intense lines, 5 to 70 degrees two-theta, in order of rising 2θ:
- hkl 2 0 0, 13.1 deg, d = 6.735 Å, I 100.0
- hkl 1 1 -1, 27.5 deg, d = 3.247 Å, I 36.1
- hkl 1 1 1, 30.5 deg, d = 2.935 Å, I 46.4
- hkl 3 1 1, 38.3 deg, d = 2.348 Å, I 40.2
- hkl 3 1 -3, 48.0 deg, d = 1.896 Å, I 59.7
- hkl 0 2 0, 48.9 deg, d = 1.864 Å, I 28.5
- hkl 5 1 1, 49.1 deg, d = 1.855 Å, I 30.5
- hkl 8 0 -2, 49.5 deg, d = 1.840 Å, I 32.3

=====

No. 4
Calculated powder X-ray diffraction pattern
Compound: NaFeS2
Radiation: Cu Kα (weighted mean of Kα1 and Kα2)
Structure: a DFT-relaxed cell (PBE, Alexandria)

Structure:
a = 5.3930 Å, b = 7.0937 Å, c = 10.6651 Å
α = 90.00°, β = 90.00°, γ = 90.00°
Space group I222 (No. 23)
Unique sites:
Na 0.0000 0.0000 0.1939 (multiplicity 4)
Fe 0.0000 0.0000 0.5000 (multiplicity 2)
Fe 0.0000 0.5000 0.0000 (multiplicity 2)
S 0.2479 0.3141 0.8968 (multiplicity 8)

Most intense lines, 5 to 70 degrees two-theta, in order of rising 2θ:
- hkl 0 1 1, 15.0 deg, d = 5.906 Å, I 100.0
- hkl 0 0 2, 16.6 deg, d = 5.333 Å, I 26.4
- hkl 1 1 2, 26.7 deg, d = 3.344 Å, I 37.1
- hkl 0 1 3, 28.1 deg, d = 3.178 Å, I 20.3
- hkl 2 2 0, 42.1 deg, d = 2.147 Å, I 21.2
- hkl 0 2 4, 42.4 deg, d = 2.131 Å, I 12.9
- hkl 2 1 3, 44.0 deg, d = 2.056 Å, I 18.0
- hkl 2 3 1, 52.2 deg, d = 1.754 Å, I 12.6

=====

No. 5
Calculated powder X-ray diffraction pattern
Compound: Na2FeSiS4
Radiation: Cu Kα (weighted mean of Kα1 and Kα2)
Structure: a DFT-relaxed cell (PBE, Alexandria)

Structure:
a = 8.7819 Å, b = 9.3641 Å, c = 6.2193 Å
α = 90.00°, β = 134.88°, γ = 90.00°
Space group C2 (No. 5)
Unique sites:
Na 0.0000 0.0000 0.0000 (multiplicity 2)
Na 0.0000 0.2504 0.5000 (multiplicity 2)
Fe 0.0000 0.4984 0.0000 (multiplicity 2)
Si 0.0000 0.7483 0.5000 (multiplicity 2)
S 0.1748 0.6244 0.4407 (multiplicity 4)
S 0.2333 0.8720 0.9080 (multiplicity 4)

Most intense lines, 5 to 70 degrees two-theta, in order of rising 2θ:
- hkl 1 1 0, 17.1 deg, d = 5.182 Å, I 39.2
- hkl 2 2 -1, 27.8 deg, d = 3.206 Å, I 100.0
- hkl 1 1 -2, 33.6 deg, d = 2.667 Å, I 12.3
- hkl 0 0 2, 41.0 deg, d = 2.203 Å, I 11.2
- hkl 4 0 -2, 41.1 deg, d = 2.195 Å, I 11.2
- hkl 1 3 1, 43.6 deg, d = 2.077 Å, I 10.6
- hkl 2 4 0, 48.7 deg, d = 1.870 Å, I 33.2
- hkl 2 2 -3, 50.3 deg, d = 1.814 Å, I 18.3

=====

No. 6
Calculated powder X-ray diffraction pattern
Compound: Na4Th3FeS8
Radiation: Cu Kα (weighted mean of Kα1 and Kα2)
Structure: a DFT-relaxed cell (PBE, Alexandria)

Structure:
a = 7.9464 Å, b = 7.9464 Å, c = 20.3885 Å
α = 90.00°, β = 90.00°, γ = 120.00°
Space group R-3m (No. 166, hexagonal axes)
Unique sites:
Na 0.0000 0.0000 0.0000 (multiplicity 3)
Na 0.0000 0.5000 0.0000 (multiplicity 9)
Th 0.0000 0.5000 0.5000 (multiplicity 9)
Fe 0.0000 0.0000 0.5000 (multiplicity 3)
S 0.0000 0.0000 0.2489 (multiplicity 6)
S 0.0116 0.5058 0.2425 (multiplicity 18)

Most intense lines, 5 to 70 degrees two-theta, in order of rising 2θ:
- hkl 0 0 3, 13.0 deg, d = 6.796 Å, I 94.6
- hkl 0 2 1, 26.3 deg, d = 3.394 Å, I 63.6
- hkl 2 0 2, 27.4 deg, d = 3.260 Å, I 36.2
- hkl 0 2 4, 31.4 deg, d = 2.852 Å, I 100.0
- hkl 2 0 8, 44.2 deg, d = 2.048 Å, I 37.2
- hkl 2 2 0, 45.7 deg, d = 1.987 Å, I 34.6
- hkl 2 2 3, 47.7 deg, d = 1.907 Å, I 23.3
- hkl 4 0 4, 56.4 deg, d = 1.631 Å, I 26.8

=====

No. 7
Calculated powder X-ray diffraction pattern
Compound: NaFe4Sb12
Radiation: Cu Kα (weighted mean of Kα1 and Kα2)
Structure: a DFT-relaxed cell (PBE, Alexandria)

Structure:
a = 9.2050 Å, b = 9.2050 Å, c = 9.2050 Å
α = 90.00°, β = 90.00°, γ = 90.00°
Space group Im-3 (No. 204)
Unique sites:
Na 0.0000 0.0000 0.0000 (multiplicity 2)
Fe 0.2500 0.2500 0.2500 (multiplicity 8)
Sb 0.0000 0.1611 0.3339 (multiplicity 24)

Most intense lines, 5 to 70 degrees two-theta, in order of rising 2θ:
- hkl 3 1 0, 30.7 deg, d = 2.911 Å, I 100.0
- hkl 3 2 1, 36.5 deg, d = 2.460 Å, I 41.0
- hkl 4 0 2, 44.0 deg, d = 2.058 Å, I 20.7
- hkl 4 2 2, 48.4 deg, d = 1.879 Å, I 17.3
- hkl 4 1 3, 50.6 deg, d = 1.805 Å, I 20.2
- hkl 5 0 3, 58.5 deg, d = 1.579 Å, I 20.8
- hkl 6 0 0, 60.3 deg, d = 1.534 Å, I 10.0
- hkl 6 3 1, 69.2 deg, d = 1.357 Å, I 18.2

=====

No. 8
Calculated powder X-ray diffraction pattern
Compound: Nb2Fe
Radiation: Cu Kα (weighted mean of Kα1 and Kα2)
Structure: a DFT-relaxed cell (PBE, Alexandria)

Structure:
a = 9.6620 Å, b = 9.6620 Å, c = 5.1080 Å
α = 90.00°, β = 90.00°, γ = 90.00°
Space group P4_2/mnm (No. 136)
Unique sites:
Nb 0.0357 0.3731 0.0000 (multiplicity 8)
Nb 0.1060 0.1060 0.0000 (multiplicity 4)
Nb 0.1793 0.8207 0.2503 (multiplicity 8)
Fe 0.0000 0.0000 0.5000 (multiplicity 2)
Fe 0.0712 0.2481 0.5000 (multiplicity 8)

Most intense lines, 5 to 70 degrees two-theta, in order of rising 2θ:
- hkl 4 1 0, 38.4 deg, d = 2.343 Å, I 78.2
- hkl 3 3 0, 39.6 deg, d = 2.277 Å, I 42.7
- hkl 2 0 2, 39.9 deg, d = 2.258 Å, I 40.8
- hkl 2 1 2, 41.1 deg, d = 2.199 Å, I 83.1
- hkl 4 1 1, 42.4 deg, d = 2.130 Å, I 100.0
- hkl 3 3 1, 43.5 deg, d = 2.080 Å, I 43.6
- hkl 5 3 2, 67.4 deg, d = 1.390 Å, I 26.8
- hkl 4 1 3, 68.1 deg, d = 1.377 Å, I 23.1

=====

No. 9
Calculated powder X-ray diffraction pattern
Compound: Nb3Fe
Radiation: Cu Kα (weighted mean of Kα1 and Kα2)
Structure: a DFT-relaxed cell (PBE, Alexandria)

Structure:
a = 3.2277 Å, b = 4.5608 Å, c = 8.9468 Å
α = 90.00°, β = 90.00°, γ = 90.00°
Space group Immm (No. 71)
Unique sites:
Nb 0.0000 0.0000 0.0000 (multiplicity 2)
Nb 0.0000 0.5000 0.2411 (multiplicity 4)
Fe 0.0000 0.0000 0.5000 (multiplicity 2)

Most intense lines, 5 to 70 degrees two-theta, in order of rising 2θ:
- hkl 0 0 2, 19.8 deg, d = 4.473 Å, I 1.6
- hkl 1 0 1, 29.4 deg, d = 3.036 Å, I 2.1
- hkl 0 1 3, 36.0 deg, d = 2.496 Å, I 2.6
- hkl 0 2 0, 39.5 deg, d = 2.280 Å, I 25.5
- hkl 1 1 2, 39.7 deg, d = 2.270 Å, I 100.0
- hkl 0 0 4, 40.3 deg, d = 2.237 Å, I 23.4
- hkl 2 0 0, 57.1 deg, d = 1.614 Å, I 8.4
- hkl 0 2 4, 57.7 deg, d = 1.597 Å, I 15.7

=====

No. 10
Calculated powder X-ray diffraction pattern
Compound: Nb8Fe
Radiation: Cu Kα (weighted mean of Kα1 and Kα2)
Structure: a DFT-relaxed cell (PBE, Alexandria)

Structure:
a = 4.6086 Å, b = 9.8654 Å, c = 13.7972 Å
α = 90.00°, β = 90.00°, γ = 90.00°
Space group Fmmm (No. 69)
Unique sites:
Nb 0.0000 0.0000 0.1645 (multiplicity 8)
Nb 0.0000 0.1598 0.0000 (multiplicity 8)
Nb 0.0000 0.1634 0.3371 (multiplicity 16)
Fe 0.0000 0.0000 0.5000 (multiplicity 4)

Most intense lines, 5 to 70 degrees two-theta, in order of rising 2θ:
- hkl 1 1 1, 22.2 deg, d = 4.001 Å, I 1.3
- hkl 0 0 4, 25.8 deg, d = 3.449 Å, I 0.6
- hkl 1 1 3, 28.9 deg, d = 3.091 Å, I 0.8
- hkl 1 3 3, 38.9 deg, d = 2.314 Å, I 100.0
- hkl 2 0 0, 39.1 deg, d = 2.302 Å, I 49.8
- hkl 0 6 0, 55.9 deg, d = 1.644 Å, I 8.3
- hkl 2 0 6, 56.5 deg, d = 1.628 Å, I 16.3
- hkl 1 3 7, 58.1 deg, d = 1.587 Å, I 0.5

=====

No. 11
Calculated powder X-ray diffraction pattern
Compound: NdNbFe
Radiation: Cu Kα (weighted mean of Kα1 and Kα2)
Structure: a DFT-relaxed cell (PBE, Alexandria)

Structure:
a = 4.4109 Å, b = 4.4109 Å, c = 6.4571 Å
α = 90.00°, β = 90.00°, γ = 90.00°
Space group P4/nmm (No. 129, origin choice 2)
Unique sites:
Nd 0.2500 0.2500 0.1321 (multiplicity 2)
Nb 0.2500 0.7500 0.5000 (multiplicity 2)
Fe 0.2500 0.2500 0.6825 (multiplicity 2)

Most intense lines, 5 to 70 degrees two-theta, in order of rising 2θ:
- hkl 1 1 0, 28.6 deg, d = 3.119 Å, I 26.7
- hkl 1 1 1, 31.9 deg, d = 2.808 Å, I 98.9
- hkl 1 0 2, 34.4 deg, d = 2.605 Å, I 100.0
- hkl 1 1 2, 40.2 deg, d = 2.243 Å, I 39.7
- hkl 2 0 0, 40.9 deg, d = 2.205 Å, I 77.8
- hkl 2 1 2, 54.5 deg, d = 1.683 Å, I 52.5
- hkl 2 2 0, 59.3 deg, d = 1.559 Å, I 25.4
- hkl 1 1 4, 65.1 deg, d = 1.434 Å, I 27.5

=====

No. 12
Calculated powder X-ray diffraction pattern
Compound: Nb2FeNi6
Radiation: Cu Kα (weighted mean of Kα1 and Kα2)
Structure: a DFT-relaxed cell (PBE, Alexandria)

Structure:
a = 4.9212 Å, b = 4.9212 Å, c = 5.4726 Å
α = 90.00°, β = 90.00°, γ = 120.00°
Space group P-3m1 (No. 164)
Unique sites:
Nb 0.3333 0.6667 0.3694 (multiplicity 2)
Fe 0.0000 0.0000 0.5000 (multiplicity 1)
Ni 0.1728 0.3456 0.8249 (multiplicity 6)

Most intense lines, 5 to 70 degrees two-theta, in order of rising 2θ:
- hkl 1 0 2, 39.1 deg, d = 2.303 Å, I 61.5
- hkl 1 1 1, 40.2 deg, d = 2.244 Å, I 48.8
- hkl 2 0 0, 42.4 deg, d = 2.131 Å, I 18.2
- hkl 0 2 1, 45.7 deg, d = 1.986 Å, I 100.0
- hkl 2 0 2, 54.6 deg, d = 1.681 Å, I 13.3
- hkl 1 0 3, 54.7 deg, d = 1.677 Å, I 14.8
- hkl 2 1 2, 67.5 deg, d = 1.388 Å, I 18.6
- hkl 3 0 1, 68.2 deg, d = 1.375 Å, I 10.0